# LiVSiO5
Calculated PXRD pattern, Cu Kα X-rays. Input: a crystal structure in the Materials Project, relaxed with GGA+U.
No peak broadening, texture or thermal motion is included.

Peak list (6 most intense, 10° ≤ 2θ ≤ 90°, sorted by position)
2θ 19.17, I = 989; 2θ 23.81, I = 508; 2θ 28.20, I = 1000; 2θ 34.32, I = 707; 2θ 41.54, I = 256; 2θ 69.37, I = 252

a b c (Å): 8.940 8.962 4.629
angles (deg): 90.00 90.00 90.00
Space group Cmme (No. 67)
One atom of each set of equivalent atoms:
Li 0.250 0.250 0.000 (multiplicity 4)
V 0.000 0.250 0.396 (multiplicity 4)
Si 0.250 0.000 0.500 (multiplicity 4)
O 0.000 0.250 0.748 (multiplicity 4)
O 0.148 0.108 0.290 (multiplicity 16)